For AcAlAu11, DFT lattice parameters and positions (PBE) gives the theoretical X-ray powder pattern in this record (Cu Kα).
No peak broadening, texture or thermal motion is included.

Largest 8 diffraction maxima, in order of rising 2θ, 15° ≤ 2θ ≤ 90°:
| d_spacing | 2θ (°) | I (rel.) |
| --- | --- | --- |
| 2.779 | 32.2 | 36 |
| 2.720 | 32.9 | 46 |
| 2.510 | 35.8 | 67 |
| 2.455 | 36.6 | 52 |
| 2.401 | 37.5 | 100 |
| 2.373 | 37.9 | 69 |
| 2.359 | 38.2 | 48 |
| 2.130 | 42.4 | 55 |

Atomic structure:
Lattice parameters (Å, degrees): 7.199 7.199 7.330 97.04 97.04 134.48
Fractional coordinates of all 13 atoms:
Ac: 0.000 0.000 0.000
Al: 0.500 0.500 0.500
Au: 0.000 0.000 0.500
Au: 0.000 0.500 0.000
Au: 0.015 0.667 0.650
Au: 0.310 0.524 0.775
Au: 0.333 0.985 0.350
Au: 0.476 0.690 0.225
Au: 0.500 0.000 0.000
Au: 0.524 0.310 0.775
Au: 0.667 0.015 0.650
Au: 0.690 0.476 0.225
Au: 0.985 0.333 0.350

For RbIn3Hg9, DFT lattice parameters and positions (PBE) gives the theoretical X-ray powder pattern in this record (Cu Kα).
No peak broadening, texture or thermal motion is included.

Largest 8 diffraction maxima, in order of rising 2θ, 15° ≤ 2θ ≤ 90°:
| d_spacing | 2θ (°) | I (rel.) |
| --- | --- | --- |
| 3.151 | 28.3 | 35 |
| 2.820 | 31.7 | 80 |
| 2.783 | 32.2 | 40 |
| 2.736 | 32.7 | 100 |
| 2.648 | 33.8 | 32 |
| 2.610 | 34.4 | 29 |
| 2.562 | 35.0 | 31 |
| 2.455 | 36.6 | 57 |

Atomic structure:
Lattice parameters (Å, degrees): 8.453 8.453 8.007 96.41 96.41 135.99
Fractional coordinates of all 13 atoms:
Rb: 0.000 0.000 0.000
In: 0.000 0.500 0.000
In: 0.500 0.000 0.000
In: 0.500 0.500 0.500
Hg: 0.000 0.000 0.500
Hg: 0.000 0.355 0.357
Hg: 0.000 0.645 0.643
Hg: 0.276 0.502 0.776
Hg: 0.355 0.000 0.357
Hg: 0.498 0.724 0.224
Hg: 0.502 0.276 0.776
Hg: 0.645 0.000 0.643
Hg: 0.724 0.498 0.224